Diffraction record for VP3O9. The X-ray powder pattern is calculated, not measured: it uses a structure optimized by DFT (GGA+U) and Cu Kα, 1.54184 Å.
Peak positions follow from Bragg's law for the DFT cell and can differ from measured ones.

Largest 12 diffraction maxima, sorted by position, 2θ = 10–80°:
2θ/deg, I (rel.)
17.82, 16
20.38, 17
22.90, 100
23.15, 77
23.22, 21
25.16, 19
25.38, 54
31.23, 16
32.53, 26
32.95, 37
33.05, 28
36.09, 13

Structural model:
Cell lengths 8.5557, 8.5984, 8.7154 Å; angles 90.00, 90.00, 90.00 degrees
Fractional coordinates of all 52 atoms:
V  0.1295  0.1440  0.1558
V  0.3705  0.8560  0.6558
V  0.6295  0.3560  0.8442
V  0.8705  0.6440  0.3442
P  0.0334  0.6774  0.6867
P  0.1862  0.5156  0.1895
P  0.2018  0.1908  0.5543
P  0.2982  0.8092  0.0543
P  0.3138  0.4844  0.6895
P  0.4666  0.3226  0.1867
P  0.5334  0.8226  0.3133
P  0.6862  0.9844  0.8105
P  0.7018  0.3092  0.4457
P  0.7982  0.6908  0.9457
P  0.8138  0.0156  0.3105
P  0.9666  0.1774  0.8133
O  0.0452  0.2197  0.6518
O  0.0902  0.1265  0.9234
O  0.1038  0.3757  0.1248
O  0.1048  0.5992  0.3188
O  0.1381  0.8093  0.6412
O  0.1399  0.5306  0.7415
O  0.1535  0.1582  0.3927
O  0.1908  0.9183  0.1371
O  0.2214  0.6373  0.0538
O  0.2786  0.3627  0.5538
O  0.3092  0.0817  0.6371
O  0.3465  0.8418  0.8927
O  0.3601  0.4694  0.2415
O  0.3619  0.1907  0.1412
O  0.3952  0.4008  0.8188
O  0.3962  0.6243  0.6248
O  0.4098  0.8735  0.4234
O  0.4548  0.7803  0.1518
O  0.5452  0.2803  0.3482
O  0.5902  0.3735  0.0766
O  0.6038  0.1243  0.8752
O  0.6048  0.9008  0.6812
O  0.6381  0.6907  0.3588
O  0.6399  0.9694  0.2585
O  0.6535  0.3418  0.6073
O  0.6908  0.5817  0.8629
O  0.7214  0.8627  0.9462
O  0.7786  0.1373  0.4462
O  0.8092  0.4183  0.3629
O  0.8465  0.6582  0.1073
O  0.8601  0.0306  0.7585
O  0.8619  0.3093  0.8588
O  0.8952  0.0992  0.1812
O  0.8962  0.8757  0.3752
O  0.9098  0.6265  0.5766
O  0.9548  0.7197  0.8482